Entry 1:
The following is a calculated powder X-ray diffraction pattern of NbCu6O8. It was derived from the PBE geometry in Alexandria, using Cu Kα, 1.54184 Å.
Kinematic intensities with the Lorentz-polarization factor, no thermal factor.

Structure:
```
data_NbCu6O8
_symmetry_space_group_name_H-M 'F m -3 m'
_symmetry_Int_Tables_number 225
_symmetry_space_group_name_Hall '-F 4 2 3'
_cell_length_a 9.2492
_cell_length_b 9.2492
_cell_length_c 9.2492
_cell_angle_alpha 90.00
_cell_angle_beta 90.00
_cell_angle_gamma 90.00
loop_
_atom_site_label
_atom_site_type_symbol
_atom_site_fract_x
_atom_site_fract_y
_atom_site_fract_z
Nb1 Nb 0.0000 0.0000 0.0000
Cu1 Cu 0.0000 0.2500 0.2500
O1 O 0.1357 0.1357 0.1357
```

The 10 most intense peaks (2θ = 10–90°), in order of rising 2θ:
h k l	d/Å	Position (°2θ)	Rel. int.
1 1 1	5.340	16.60	42.2
2 0 0	4.625	19.19	4.4
2 2 2	2.670	33.56	100.0
4 0 0	2.312	38.95	28.2
3 3 1	2.122	42.61	13.6
4 4 0	1.635	56.26	46.2
5 3 1	1.563	59.09	6.4
6 2 2	1.394	67.13	35.8
4 4 4	1.335	70.55	6.8
8 0 0	1.156	83.64	6.3

Entry 2:
The following is a calculated powder X-ray diffraction pattern of AcCe4P5. It was derived from the PBE geometry in Alexandria, using Cu Kα, 1.54184 Å.
Kinematic intensities with the Lorentz-polarization factor, no thermal factor.

Structure:
```
data_AcCe4P5
_symmetry_space_group_name_H-M 'I m m m'
_symmetry_Int_Tables_number 71
_symmetry_space_group_name_Hall '-I 2 2'
_cell_length_a 4.1593
_cell_length_b 5.9145
_cell_length_c 20.8576
_cell_angle_alpha 90.00
_cell_angle_beta 90.00
_cell_angle_gamma 90.00
loop_
_atom_site_label
_atom_site_type_symbol
_atom_site_fract_x
_atom_site_fract_y
_atom_site_fract_z
Ac1 Ac 0.0000 0.0000 0.0000
Ce1 Ce 0.0000 0.0000 0.2029
Ce2 Ce 0.0000 0.0000 0.3986
P1 P 0.0000 0.5000 0.0000
P2 P 0.0000 0.5000 0.1991
P3 P 0.0000 0.5000 0.3914
```

The 10 most intense peaks (2θ = 10–90°), in order of rising 2θ:
h k l	d/Å	Position (°2θ)	Rel. int.
0 1 5	3.406	26.17	100.0
0 2 0	2.957	30.22	39.7
1 0 5	2.945	30.35	78.0
1 2 5	2.087	43.36	72.1
0 3 5	1.782	51.27	16.9
1 1 10	1.777	51.43	33.4
0 2 10	1.704	53.78	15.0
2 2 0	1.701	53.90	15.4
0 1 15	1.354	69.42	17.1
2 2 10	1.318	71.57	19.0